Calculated powder diffraction line list
Compound: Pm5PrNdSm2
Radiation: Cu Kα X-rays
Structure: a DFT-relaxed cell (PBE, Alexandria)
Neutral-atom scattering factors, no anomalous dispersion.

Main lines, in order of rising 2θ (2θ = 10–80°):
d 3.176, 28.1°, I = 58, (2 1 3); d 3.143, 28.4°, I = 49, (2 2 0); d 2.956, 30.2°, I = 100, (2 0 4); d 2.811, 31.8°, I = 16, (3 1 0); d 2.477, 36.3°, I = 15, (2 1 5); d 2.436, 36.9°, I = 19, (3 2 1); d 2.138, 42.3°, I = 23, (4 0 2); d 1.980, 45.8°, I = 14, (0 0 8); d 1.776, 51.4°, I = 19, (4 2 4); d 1.675, 54.8°, I = 13, (2 2 8)

Lattice parameters (Å, degrees): 8.889 8.889 15.837 90.00 90.00 90.00
Space group I4/mcm (No. 140)
Asymmetric unit:
Pm 0.000 0.000 0.000 x4
Pm 0.205 0.295 0.136 x16
Pr 0.000 0.000 0.250 x4
Nd 0.000 0.500 0.250 x4
Sm 0.118 0.382 0.500 x8

Calculated powder diffraction line list
Compound: TmGa9Rh2
Radiation: Cu Kα X-rays
Structure: a DFT-relaxed cell (PBE, Alexandria)
Neutral-atom scattering factors, no anomalous dispersion.

Main lines, in order of rising 2θ (2θ = 10–80°):
d 2.824, 31.7°, I = 43, (1 1 5); d 2.793, 32.0°, I = 54, (1 5 1); d 2.517, 35.7°, I = 51, (0 2 6); d 2.487, 36.1°, I = 51, (0 6 2); d 2.418, 37.2°, I = 100, (2 2 4); d 2.407, 37.4°, I = 94, (2 4 2); d 2.158, 41.9°, I = 49, (3 1 1); d 2.133, 42.4°, I = 30, (1 1 7); d 2.119, 42.7°, I = 47, (1 5 5); d 1.244, 76.6°, I = 28, (0 12 4)

Lattice parameters (Å, degrees): 6.597 15.703 15.942 90.00 90.00 90.00
Space group Fddd (No. 70, origin choice 2)
Asymmetric unit:
Tm 0.125 0.125 0.125 x8
Ga 0.080 0.029 0.341 x32
Ga 0.082 0.339 0.028 x32
Ga 0.125 0.125 0.625 x8
Rh 0.000 0.000 0.500 x16

Calculated powder diffraction line list
Compound: SrCaPr
Radiation: Cu Kα X-rays
Structure: a DFT-relaxed cell (PBE, Alexandria)
Neutral-atom scattering factors, no anomalous dispersion.

Main lines, in order of rising 2θ (2θ = 10–80°):
d 3.881, 22.9°, I = 20, (1 0 0); d 3.283, 27.2°, I = 43, (0 1 2); d 3.207, 27.8°, I = 58, (0 2 -2); d 3.121, 28.6°, I = 98, (1 0 -2); d 3.066, 29.1°, I = 26, (0 0 3); d 2.970, 30.1°, I = 100, (1 1 0); d 2.798, 32.0°, I = 20, (0 2 1); d 1.927, 47.2°, I = 21, (1 1 3); d 1.728, 53.0°, I = 32, (1 0 -5); d 1.717, 53.4°, I = 25, (2 1 -2)

Lattice parameters (Å, degrees): 4.065 7.202 9.744 108.47 90.00 106.32
Space group P-1 (No. 2)
Asymmetric unit:
Sr 0.168 0.335 0.125 x2
Ca 0.469 0.937 0.248 x2
Pr 0.151 0.303 0.533 x2

Calculated powder diffraction line list
Compound: Tb7YHo5
Radiation: Cu Kα X-rays
Structure: a DFT-relaxed cell (PBE, Alexandria)
Neutral-atom scattering factors, no anomalous dispersion.

Main lines, in order of rising 2θ (2θ = 10–80°):
d 3.256, 27.4°, I = 26, (1 3 0); d 2.877, 31.1°, I = 100, (0 0 4); d 2.857, 31.3°, I = 52, (2 2 0); d 2.834, 31.6°, I = 75, (1 3 2); d 2.559, 35.1°, I = 96, (2 2 2); d 2.519, 35.6°, I = 33, (0 4 2); d 1.628, 56.5°, I = 26, (2 6 0); d 1.592, 57.9°, I = 34, (2 2 6); d 1.438, 64.8°, I = 21, (4 0 4); d 1.417, 65.9°, I = 23, (2 6 4)

Lattice parameters (Å, degrees): 6.643 11.205 11.507 90.00 90.00 90.00
Space group Imm2 (No. 44)
Asymmetric unit:
Tb 0.000 0.000 0.000 x2
Tb 0.000 0.000 0.305 x2
Tb 0.000 0.327 0.246 x4
Tb 0.000 0.330 0.745 x4
Tb 0.000 0.500 0.998 x2
Y 0.000 0.000 0.691 x2
Ho 0.000 0.500 0.493 x2
Ho 0.234 0.229 0.497 x8

Calculated powder diffraction line list
Compound: Nd7Sm3Y
Radiation: Cu Kα X-rays
Structure: a DFT-relaxed cell (PBE, Alexandria)
Neutral-atom scattering factors, no anomalous dispersion.

Main lines, in order of rising 2θ (2θ = 10–80°):
d 3.336, 26.7°, I = 32, (0 1 2); d 3.258, 27.4°, I = 17, (2 0 0); d 2.917, 30.7°, I = 23, (0 2 -2); d 2.892, 30.9°, I = 62, (1 2 -1); d 2.875, 31.1°, I = 100, (-1 2 1); d 2.853, 31.4°, I = 88, (2 0 -2); d 2.834, 31.6°, I = 76, (2 -1 1); d 2.810, 31.8°, I = 18, (1 0 -3); d 2.746, 32.6°, I = 40, (1 1 2); d 2.658, 33.7°, I = 22, (1 -2 2)

Lattice parameters (Å, degrees): 6.654 6.845 8.846 99.71 99.10 96.03
Space group P-1 (No. 2)
Asymmetric unit:
Nd 0.000 0.000 0.000 x1
Nd 0.060 0.211 0.643 x2
Nd 0.310 0.438 0.336 x2
Nd 0.486 0.236 0.918 x2
Sm 0.220 0.725 0.712 x2
Sm 0.500 0.000 0.500 x1
Y 0.000 0.500 0.000 x1

Calculated powder diffraction line list
Compound: SmEr5Pd2
Radiation: Cu Kα X-rays
Structure: a DFT-relaxed cell (PBE, Alexandria)
Neutral-atom scattering factors, no anomalous dispersion.

Main lines, in order of rising 2θ (2θ = 10–80°):
d 3.157, 28.3°, I = 24, (0 4 1); d 2.983, 30.0°, I = 29, (0 0 6); d 2.843, 31.5°, I = 89, (1 3 0); d 2.828, 31.6°, I = 100, (1 1 4); d 2.607, 34.4°, I = 53, (0 4 4); d 2.567, 35.0°, I = 70, (1 3 3); d 2.555, 35.1°, I = 42, (1 1 5); d 2.375, 37.9°, I = 25, (0 2 7); d 1.903, 47.8°, I = 39, (2 0 0); d 1.606, 57.4°, I = 36, (1 1 10)

Lattice parameters (Å, degrees): 3.806 12.829 17.897 90.00 90.00 90.00
Space group Cmcm (No. 63)
Asymmetric unit:
Sm 0.000 0.151 0.250 x4
Er 0.000 0.113 0.750 x4
Er 0.000 0.155 0.043 x8
Er 0.000 0.448 0.101 x8
Pd 0.000 0.241 0.626 x8

Calculated powder diffraction line list
Compound: K2CeCu2Se4
Radiation: Cu Kα X-rays
Structure: a DFT-relaxed cell (PBE, Alexandria)
Neutral-atom scattering factors, no anomalous dispersion.

Main lines, in order of rising 2θ (2θ = 10–80°):
d 7.458, 11.9°, I = 100, (0 0 1); d 3.654, 24.4°, I = 16, (1 1 -1); d 3.132, 28.5°, I = 16, (3 1 -1); d 2.856, 31.3°, I = 71, (1 1 -2); d 2.703, 33.1°, I = 37, (3 1 -2); d 2.673, 33.5°, I = 21, (3 1 1); d 2.167, 41.7°, I = 28, (3 1 2); d 2.071, 43.7°, I = 23, (0 2 0); d 1.874, 48.6°, I = 20, (7 1 -2); d 1.763, 51.9°, I = 17, (3 1 3)

Lattice parameters (Å, degrees): 15.071 4.141 7.916 90.00 109.60 90.00
Space group C2/m (No. 12)
Asymmetric unit:
K 0.136 0.000 0.066 x4
Ce 0.000 0.000 0.500 x2
Cu 0.180 0.500 0.487 x4
Se 0.021 0.500 0.261 x4
Se 0.201 0.000 0.676 x4

Calculated powder diffraction line list
Compound: MnAlZn4
Radiation: Cu Kα X-rays
Structure: a DFT-relaxed cell (PBE, Alexandria)
Neutral-atom scattering factors, no anomalous dispersion.

Main lines, in order of rising 2θ (2θ = 10–80°):
d 4.356, 20.4°, I = 11, (0 2 0); d 4.319, 20.6°, I = 42, (1 0 0); d 3.067, 29.1°, I = 16, (1 2 0); d 2.312, 39.0°, I = 18, (0 2 2); d 2.178, 41.5°, I = 31, (0 4 0); d 2.159, 41.8°, I = 30, (2 0 0); d 2.039, 44.4°, I = 100, (1 2 2); d 1.534, 60.4°, I = 19, (2 4 0); d 1.229, 77.7°, I = 17, (1 6 2); d 1.222, 78.2°, I = 17, (3 2 2)

Lattice parameters (Å, degrees): 4.319 8.713 5.457 90.00 90.01 90.00
Space group P2_1/m (No. 11)
Asymmetric unit:
Mn 0.002 0.250 0.001 x2
Al 0.498 0.750 0.763 x2
Zn 0.002 0.001 0.239 x4
Zn 0.003 0.250 0.504 x2
Zn 0.498 0.750 0.247 x2

Calculated powder diffraction line list
Compound: PmMn5Si3
Radiation: Cu Kα X-rays
Structure: a DFT-relaxed cell (PBE, Alexandria)
Neutral-atom scattering factors, no anomalous dispersion.

Main lines, in order of rising 2θ (2θ = 10–80°):
d 3.486, 25.5°, I = 36, (1 1 1); d 3.191, 28.0°, I = 35, (0 2 3); d 2.938, 30.4°, I = 46, (0 4 1); d 2.792, 32.1°, I = 66, (1 3 0); d 2.621, 34.2°, I = 100, (1 1 3); d 2.500, 35.9°, I = 65, (1 3 2); d 2.363, 38.1°, I = 31, (0 4 3); d 2.231, 40.4°, I = 71, (1 1 4); d 2.057, 44.0°, I = 42, (1 5 0); d 1.923, 47.3°, I = 54, (2 0 0)

Lattice parameters (Å, degrees): 3.846 12.176 11.242 90.00 90.00 90.00
Space group Cmcm (No. 63)
Asymmetric unit:
Pm 0.000 0.167 0.250 x4
Mn 0.000 0.000 0.000 x4
Mn 0.000 0.192 0.556 x8
Mn 0.000 0.443 0.149 x8
Si 0.000 0.121 0.750 x4
Si 0.000 0.382 0.552 x8

Calculated powder diffraction line list
Compound: LiGaCu5
Radiation: Cu Kα X-rays
Structure: a DFT-relaxed cell (PBE, Alexandria)
Neutral-atom scattering factors, no anomalous dispersion.

Main lines, in order of rising 2θ (2θ = 10–80°):
d 4.257, 20.9°, I = 84, (0 0 2); d 2.458, 36.6°, I = 31, (0 1 3); d 2.128, 42.5°, I = 54, (0 0 4); d 2.106, 43.0°, I = 81, (1 2 1); d 2.039, 44.4°, I = 100, (2 0 2); d 1.725, 53.1°, I = 38, (1 2 3); d 1.609, 57.3°, I = 14, (0 2 4); d 1.570, 58.8°, I = 12, (2 2 2); d 1.323, 71.3°, I = 18, (2 1 5); d 1.295, 73.1°, I = 15, (3 2 1)

Lattice parameters (Å, degrees): 4.646 4.918 8.512 90.00 90.00 90.00
Space group Imm2 (No. 44)
Asymmetric unit:
Li 0.000 0.000 0.000 x2
Ga 0.000 0.500 0.292 x2
Cu 0.000 0.000 0.274 x2
Cu 0.000 0.257 0.746 x4
Cu 0.248 0.500 0.020 x4

Calculated powder diffraction line list
Compound: Tb6Tm3Zr
Radiation: Cu Kα X-rays
Structure: a DFT-relaxed cell (PBE, Alexandria)
Neutral-atom scattering factors, no anomalous dispersion.

Main lines, in order of rising 2θ (2θ = 10–80°):
d 3.609, 24.7°, I = 15, (0 3 1); d 3.109, 28.7°, I = 50, (1 2 2); d 2.901, 30.8°, I = 100, (1 3 -1); d 2.690, 33.3°, I = 28, (0 3 3); d 2.463, 36.5°, I = 55, (1 0 -4); d 2.438, 36.9°, I = 32, (2 0 0); d 2.018, 44.9°, I = 26, (0 4 4); d 1.806, 50.5°, I = 18, (2 3 3); d 1.554, 59.5°, I = 17, (2 4 -4); d 1.432, 65.1°, I = 39, (1 3 7)

Lattice parameters (Å, degrees): 4.876 11.404 11.422 90.00 90.04 90.00
Space group P2_1/c (No. 14)
Asymmetric unit:
Tb 0.000 0.001 0.214 x4
Tb 0.000 0.214 0.999 x4
Tb 0.500 0.149 0.648 x4
Tm 0.500 0.000 0.000 x2
Tm 0.500 0.145 0.355 x4
Zr 0.000 0.000 0.500 x2

Calculated powder diffraction line list
Compound: TlSe2O8
Radiation: Cu Kα X-rays
Structure: a DFT-relaxed cell (PBE, Alexandria)
Neutral-atom scattering factors, no anomalous dispersion.

Main lines, in order of rising 2θ (2θ = 10–80°):
d 6.042, 14.7°, I = 100, (1 1 0); d 5.866, 15.1°, I = 93, (2 0 0); d 4.220, 21.1°, I = 28, (1 1 1); d 3.972, 22.4°, I = 36, (3 1 -1); d 3.890, 22.9°, I = 51, (1 1 -2); d 3.694, 24.1°, I = 40, (3 1 -2); d 3.420, 26.1°, I = 30, (3 1 0); d 2.854, 31.3°, I = 51, (2 2 -2); d 2.631, 34.1°, I = 44, (2 0 2); d 2.507, 35.8°, I = 24, (4 2 -2)

Lattice parameters (Å, degrees): 14.525 7.048 9.777 90.00 126.13 90.00
Space group C2/c (No. 15)
Asymmetric unit:
Tl 0.000 0.003 0.250 x4
Se 0.096 0.263 0.558 x8
O 0.041 0.232 0.117 x8
O 0.103 0.220 0.735 x8
O 0.152 0.473 0.577 x8
O 0.160 0.090 0.519 x8